For NaLiGa2Si4O12, DFT lattice parameters and positions (PBE) gives the theoretical powder XRD pattern in this record (λ = 1.5418 Å (Cu Kα)).

Structural model:
```
data_NaLiGa2Si4O12
_chemical_formula_sum 'Na2 Li2 Ga4 Si8 O24'
_cell_length_a 9.7029
_cell_length_b 8.7397
_cell_length_c 5.3419
_cell_angle_alpha 90.00
_cell_angle_beta 109.24
_cell_angle_gamma 90.00
_symmetry_space_group_name_H-M 'C 1 2 1'
_symmetry_Int_Tables_number 5
loop_
_symmetry_equiv_pos_as_xyz
'x,y,z'
'-x,y,-z'
'x+1/2,y+1/2,z'
'-x+1/2,y+1/2,-z'
loop_
_atom_site_label
_atom_site_fract_x
_atom_site_fract_y
_atom_site_fract_z
_atom_site_occupancy
Na1 0.0000 0.0000 0.0000 1
Li1 0.0000 0.5713 0.5000 1
Ga1 0.0000 0.1960 0.5000 1
Ga2 0.0000 0.3952 0.0000 1
Si1 0.2059 0.7034 0.0024 1
Si2 0.2072 0.8847 0.5048 1
O1 0.1122 0.3789 0.3899 1
O2 0.1141 0.2162 0.8885 1
O3 0.1350 0.5357 0.9269 1
O4 0.1401 0.0544 0.4455 1
O5 0.1449 0.7963 0.7173 1
O6 0.1462 0.7893 0.2214 1
```

Peak list (10 most intense, 2θ = 10–80°, by angle)
| two_theta | I_rel |
| --- | --- |
| 14.01 | 68 |
| 19.86 | 33 |
| 20.32 | 22 |
| 24.96 | 22 |
| 29.74 | 100 |
| 31.02 | 56 |
| 35.31 | 25 |
| 35.60 | 35 |
| 36.83 | 34 |
| 41.46 | 21 |

For Na5PrO6, DFT lattice parameters and positions (PBE) gives the theoretical powder XRD pattern in this record (λ = 1.5418 Å (Cu Kα)).

Structural model:
```
data_Na5PrO6
_chemical_formula_sum 'Na20 Pr4 O24'
_cell_length_a 6.0024
_cell_length_b 10.4539
_cell_length_c 11.3638
_cell_angle_alpha 90.00
_cell_angle_beta 99.59
_cell_angle_gamma 90.00
_symmetry_space_group_name_H-M 'C 1 2/c 1'
_symmetry_Int_Tables_number 15
loop_
_symmetry_equiv_pos_as_xyz
'x,y,z'
'-x,-y,-z'
'-x,y,-z+1/2'
'x,-y,z+1/2'
'x+1/2,y+1/2,z'
'-x+1/2,-y+1/2,-z'
'-x+1/2,y+1/2,-z+1/2'
'x+1/2,-y+1/2,z+1/2'
loop_
_atom_site_label
_atom_site_fract_x
_atom_site_fract_y
_atom_site_fract_z
_atom_site_occupancy
Na1 0.0000 0.0801 0.2500 1
Na2 0.0000 0.4161 0.2500 1
Na3 0.2498 0.0760 0.9977 1
Na4 0.2500 0.2500 0.5000 1
Pr1 0.0000 0.2525 0.7500 1
O1 0.1165 0.0945 0.6303 1
O2 0.1167 0.4090 0.6288 1
O3 0.1471 0.2468 0.1312 1
```

Peak list (10 most intense, 2θ = 10–80°, by angle)
| two_theta | I_rel |
| --- | --- |
| 15.82 | 48 |
| 16.96 | 38 |
| 17.88 | 70 |
| 19.99 | 55 |
| 23.27 | 37 |
| 31.51 | 45 |
| 36.63 | 51 |
| 36.78 | 100 |
| 52.76 | 31 |
| 53.01 | 31 |

For DyU3, DFT lattice parameters and positions (PBE) gives the theoretical powder XRD pattern in this record (λ = 1.5418 Å (Cu Kα)).

Structural model:
```
data_DyU3
_chemical_formula_sum 'Dy2 U6'
_cell_length_a 4.3921
_cell_length_b 4.3921
_cell_length_c 9.5140
_cell_angle_alpha 90.00
_cell_angle_beta 90.00
_cell_angle_gamma 90.00
_symmetry_space_group_name_H-M 'I 4/m m m'
_symmetry_Int_Tables_number 139
_symmetry_space_group_name_Hall '-I 4 2'
loop_
_atom_site_label
_atom_site_fract_x
_atom_site_fract_y
_atom_site_fract_z
_atom_site_occupancy
Dy1 0.0000 0.0000 0.0000 1
U1 0.0000 0.0000 0.5000 1
U2 0.0000 0.5000 0.2500 1
```

Peak list (10 most intense, 2θ = 10–80°, by angle)
| two_theta | I_rel |
| --- | --- |
| 18.65 | 1 |
| 22.29 | 2 |
| 34.49 | 100 |
| 37.82 | 20 |
| 41.10 | 31 |
| 57.08 | 24 |
| 59.53 | 11 |
| 66.17 | 16 |
| 70.65 | 27 |
| 72.73 | 12 |